The following is a simulated PXRD pattern of CoP2PbS8. It was derived from the PBE geometry in Alexandria, using Cu Kα (λ = 1.5418 Å).
Lines closer than 0.1° are merged.

Structure:
Cell: 5.7496 5.7496 8.3898 Å, 90.00 90.00 120.00°
Space group P-3 (No. 147)
Inequivalent atoms, fractional coordinates:
Co  0.0000  0.0000  0.0000 x1
P  0.3333  0.6667  0.2265 x2
Pb  0.0000  0.0000  0.5000 x1
S  0.0118  0.6954  0.8329 x6
S  0.3333  0.6667  0.4684 x2

Top 10 peaks for 10° ≤ 2θ ≤ 90°, low angle first:
4.979 Å, rel. 100, hkl 1 0 0
4.282 Å, rel. 42, hkl 1 0 1
3.208 Å, rel. 100, hkl 1 0 2
2.875 Å, rel. 50, hkl 1 1 0
2.720 Å, rel. 80, hkl 1 1 1
2.371 Å, rel. 80, hkl 2 -1 2
2.141 Å, rel. 39, hkl 2 0 2
1.717 Å, rel. 38, hkl 3 -1 2
1.694 Å, rel. 43, hkl 1 1 4
1.660 Å, rel. 34, hkl 3 0 0